Record 1
Diffraction record for PrCu2O4. The powder diffractogram is simulated, not measured: it uses a structure optimized by DFT (GGA-PBE) and CuKα.

Largest 10 diffraction maxima, sorted by position, 2θ = 15–90°:
2θ = 28.17°, I 51
2θ = 30.41°, I 12
2θ = 31.37°, I 47
2θ = 35.35°, I 100
2θ = 35.64°, I 24
2θ = 49.07°, I 21
2θ = 52.67°, I 24
2θ = 54.64°, I 17
2θ = 57.29°, I 20
2θ = 58.26°, I 28

Structural model:
Lattice parameters (Å, degrees): 5.878 5.878 9.783 90.00 90.00 90.00
Space group I4_1/a (No. 88, origin choice 2)
Inequivalent atoms, fractional coordinates:
Pr 0.000 0.250 0.125
Cu 0.000 0.000 0.500
O 0.145 0.470 0.325



Record 2
Diffraction record for LiPm5Hg6. The powder diffractogram is simulated, not measured: it uses a structure optimized by DFT (GGA-PBE) and CuKα.

Largest 10 diffraction maxima, sorted by position, 2θ = 15–90°:
2θ = 23.59°, I 5
2θ = 33.40°, I 20
2θ = 33.79°, I 100
2θ = 48.25°, I 15
2θ = 48.82°, I 7
2θ = 59.95°, I 15
2θ = 60.42°, I 15
2θ = 60.51°, I 8
2θ = 71.04°, I 7
2θ = 81.49°, I 6

Structural model:
Lattice parameters (Å, degrees): 9.146 16.097 5.304 90.00 125.32 90.00
Space group C2/m (No. 12)
Inequivalent atoms, fractional coordinates:
Li 0.000 0.000 0.000
Pm 0.000 0.163 0.500
Pm 0.000 0.332 0.000
Pm 0.000 0.500 0.500
Hg 0.239 0.000 0.739
Hg 0.240 0.159 0.240



Record 3
Diffraction record for PaAl2PdO8. The powder diffractogram is simulated, not measured: it uses a structure optimized by DFT (GGA-PBE) and CuKα.

Largest 10 diffraction maxima, sorted by position, 2θ = 15–90°:
2θ = 18.99°, I 100
2θ = 23.86°, I 21
2θ = 26.90°, I 49
2θ = 27.06°, I 53
2θ = 34.78°, I 77
2θ = 39.86°, I 36
2θ = 43.39°, I 22
2θ = 48.84°, I 22
2θ = 52.77°, I 32
2θ = 52.95°, I 36

Structural model:
Lattice parameters (Å, degrees): 6.591 6.630 6.187 90.00 90.00 90.00
Space group Cmmm (No. 65)
Inequivalent atoms, fractional coordinates:
Pa 0.000 0.000 0.000
Al 0.000 0.500 0.258
Pd 0.000 0.000 0.500
O 0.000 0.214 0.265
O 0.176 0.500 0.000
O 0.192 0.500 0.500



Record 4
Diffraction record for AlGaAu6. The powder diffractogram is simulated, not measured: it uses a structure optimized by DFT (GGA-PBE) and CuKα.

Largest 10 diffraction maxima, sorted by position, 2θ = 15–90°:
2θ = 26.15°, I 20
2θ = 26.64°, I 18
2θ = 33.36°, I 57
2θ = 33.83°, I 52
2θ = 36.52°, I 78
2θ = 36.74°, I 100
2θ = 41.47°, I 35
2θ = 42.02°, I 34
2θ = 46.56°, I 35
2θ = 73.89°, I 18

Structural model:
Lattice parameters (Å, degrees): 5.325 5.525 5.602 69.14 77.74 76.85
Space group P-1 (No. 2)
Inequivalent atoms, fractional coordinates:
Al 0.000 0.000 0.000
Ga 0.500 0.500 0.500
Au 0.000 0.245 0.512
Au 0.247 0.536 0.971
Au 0.492 0.005 0.752